Theoretical X-ray powder pattern
Compound: AcCd2AsPt2
Radiation: λ = 1.5418 Å (Cu Kα)
Structure: a DFT-relaxed cell (PBE, Alexandria)
Intensities are scaled so that the largest is 100.

Structural model:
```
data_AcCd2AsPt2
_symmetry_space_group_name_H-M 'I 4/m m m'
_symmetry_Int_Tables_number 139
_symmetry_space_group_name_Hall '-I 4 2'
_cell_length_a 5.2729
_cell_length_b 5.2729
_cell_length_c 11.1755
_cell_angle_alpha 90.00
_cell_angle_beta 90.00
_cell_angle_gamma 90.00
loop_
_atom_site_label
_atom_site_fract_x
_atom_site_fract_y
_atom_site_fract_z
_atom_site_occupancy
Ac1 0.0000 0.0000 0.0000 1
Cd1 0.0000 0.5000 0.2500 1
As1 0.0000 0.0000 0.5000 1
Pt1 0.0000 0.0000 0.2845 1
```

The 10 most intense peaks (2θ = 10–90°), low angle first:
| two_theta | I/Imax | h k l |
| --- | --- | --- |
| 15.86 | 30 | 0 0 2 |
| 23.87 | 59 | 1 1 0 |
| 29.36 | 49 | 1 0 3 |
| 32.04 | 43 | 0 0 4 |
| 34.00 | 100 | 2 0 0 |
| 45.53 | 31 | 2 1 3 |
| 47.41 | 57 | 2 0 4 |
| 48.85 | 36 | 2 2 0 |
| 55.10 | 24 | 3 1 0 |
| 59.62 | 29 | 2 2 4 |